1.
Computed powder diffraction line list of ErInCu for a wavelength of 1.5418 Å, from DFT lattice parameters and positions (GGA-PBE).
Peak positions follow from Bragg's law for the DFT cell and can differ from measured ones.

Cell and atoms:
a b c (Å): 7.402 7.402 3.948
angles (deg): 90.00 90.00 120.00
Sites, in units of the cell vectors:
Er 0.000 0.589 0.000
Er 0.411 0.411 0.000
Er 0.589 0.000 0.000
In 0.000 0.255 0.500
In 0.255 0.000 0.500
In 0.745 0.745 0.500
Cu 0.000 0.000 0.000
Cu 0.333 0.667 0.500
Cu 0.667 0.333 0.500

Principal peaks in the range 15 to 90 degrees two-theta, in order of falling intensity:
d = 2.700 Å, intensity 100
d = 2.488 Å, intensity 74
d = 2.423 Å, intensity 49
d = 1.378 Å, intensity 23
d = 1.530 Å, intensity 23
d = 1.621 Å, intensity 23

2.
Computed powder diffraction line list of ErInCu4 for a wavelength of 1.5418 Å, from DFT lattice parameters and positions (GGA-PBE).
Peak positions follow from Bragg's law for the DFT cell and can differ from measured ones.

Cell and atoms:
a b c (Å): 5.099 5.099 5.099
angles (deg): 60.00 60.00 60.00
Sites, in units of the cell vectors:
Er 0.000 0.000 0.000
In 0.250 0.250 0.250
Cu 0.125 0.625 0.625
Cu 0.625 0.125 0.625
Cu 0.625 0.625 0.125
Cu 0.625 0.625 0.625

Principal peaks in the range 15 to 90 degrees two-theta, in order of falling intensity:
d = 2.174 Å, intensity 100
d = 2.549 Å, intensity 55
d = 1.388 Å, intensity 30
d = 1.275 Å, intensity 22
d = 2.082 Å, intensity 20
d = 1.472 Å, intensity 20